Record 1
The following is a computed powder diffraction line list of Cs2MnF6. It was derived from a structure optimized by DFT (GGA+U), using CuKα.
Kinematic intensities with the Lorentz-polarization factor, no thermal factor.

Structure:
abc: 9.1498 9.1498 9.1498
angles: 90.00 90.00 90.00
Space group Fm-3m (No. 225)
Unique sites:
Cs 0.2500 0.2500 0.2500 (multiplicity 8)
Mn 0.0000 0.0000 0.0000 (multiplicity 4)
F 0.0000 0.0000 0.2024 (multiplicity 24)

Peak list (10 most intense, 2θ from 15° to 90°, in order of rising 2θ)
2θ (°)  I (rel.)
16.78  24
19.40  33
27.57  100
33.94  42
39.39  38
44.27  22
48.76  35
56.93  21
64.40  22
78.18  23

Record 2
The following is a computed powder diffraction line list of LiV4O5F7. It was derived from a structure optimized by DFT (GGA+U), using CuKα.
Kinematic intensities with the Lorentz-polarization factor, no thermal factor.

Structure:
abc: 5.2388 5.3710 17.2431
angles: 87.12 81.28 61.06
Space group P1 (No. 1)
Unique sites:
Li 0.0000 0.0000 0.0000 (multiplicity 1)
Li 0.3297 0.6733 0.6038 (multiplicity 1)
V 0.1394 0.3700 0.2981 (multiplicity 1)
V 0.1944 0.8034 0.8064 (multiplicity 1)
V 0.4037 0.7495 0.4239 (multiplicity 1)
V 0.4255 0.2047 0.9303 (multiplicity 1)
V 0.6011 0.0997 0.5496 (multiplicity 1)
V 0.6293 0.5889 0.0481 (multiplicity 1)
V 0.9068 0.9884 0.1752 (multiplicity 1)
V 0.9373 0.4139 0.6824 (multiplicity 1)
O 0.3443 0.2520 0.6352 (multiplicity 1)
O 0.3578 0.0273 0.3670 (multiplicity 1)
O 0.3783 0.5095 0.8613 (multiplicity 1)
O 0.4218 0.9150 0.9935 (multiplicity 1)
O 0.4691 0.3844 0.4910 (multiplicity 1)
O 0.4863 0.8700 0.5189 (multiplicity 1)
O 0.5042 0.3775 0.0148 (multiplicity 1)
O 0.8695 0.2672 0.1173 (multiplicity 1)
O 0.9608 0.6457 0.2397 (multiplicity 1)
O 0.9650 0.1431 0.7418 (multiplicity 1)
F 0.3370 0.7600 0.1426 (multiplicity 1)
F 0.3480 0.5352 0.3419 (multiplicity 1)
F 0.3686 0.0239 0.8393 (multiplicity 1)
F 0.4843 0.1561 0.2168 (multiplicity 1)
F 0.4895 0.6646 0.7074 (multiplicity 1)
F 0.8309 0.3034 0.5921 (multiplicity 1)
F 0.8350 0.5123 0.3902 (multiplicity 1)
F 0.8577 0.7953 0.0843 (multiplicity 1)
F 0.8733 0.9872 0.8988 (multiplicity 1)
F 0.9039 0.7718 0.6168 (multiplicity 1)
F 0.9714 0.1348 0.2678 (multiplicity 1)
F 0.9793 0.4181 0.9649 (multiplicity 1)
F 0.9810 0.6317 0.7635 (multiplicity 1)
F 0.9928 0.9053 0.4722 (multiplicity 1)

Peak list (10 most intense, 2θ from 15° to 90°, in order of rising 2θ)
2θ (°)  I (rel.)
23.56  100
24.26  52
32.88  9
33.44  8
39.78  11
39.89  10
48.12  11
48.27  10
49.70  9
61.64  9

Record 3
The following is a computed powder diffraction line list of VZnPO5. It was derived from a structure optimized by DFT (GGA+U), using CuKα.
Kinematic intensities with the Lorentz-polarization factor, no thermal factor.

Structure:
abc: 5.5068 5.5126 7.2052
angles: 108.30 108.26 95.98
Space group P1 (No. 1)
Unique sites:
V 0.0000 0.0000 0.0000 (multiplicity 1)
V 0.0001 0.0003 0.5001 (multiplicity 1)
Zn 0.3142 0.6852 0.2574 (multiplicity 1)
Zn 0.6880 0.3171 0.7493 (multiplicity 1)
P 0.3559 0.6430 0.7487 (multiplicity 1)
P 0.6436 0.3567 0.2507 (multiplicity 1)
O 0.0865 0.9118 0.2494 (multiplicity 1)
O 0.2269 0.7254 0.9126 (multiplicity 1)
O 0.2749 0.7696 0.5822 (multiplicity 1)
O 0.3014 0.3345 0.6438 (multiplicity 1)
O 0.3346 0.3016 0.1463 (multiplicity 1)
O 0.6649 0.6994 0.8543 (multiplicity 1)
O 0.6995 0.6653 0.3566 (multiplicity 1)
O 0.7254 0.2291 0.4162 (multiplicity 1)
O 0.7712 0.2747 0.0855 (multiplicity 1)
O 0.9136 0.0882 0.7505 (multiplicity 1)

Peak list (10 most intense, 2θ from 15° to 90°, in order of rising 2θ)
2θ (°)  I (rel.)
17.86  17
27.05  87
27.38  100
28.59  11
35.68  68
39.57  14
50.70  20
53.69  12
53.96  24
56.51  13

Record 4
The following is a computed powder diffraction line list of LiMn3P4O16. It was derived from a structure optimized by DFT (GGA+U), using CuKα.
Kinematic intensities with the Lorentz-polarization factor, no thermal factor.

Structure:
abc: 4.8060 5.9100 9.8532
angles: 90.00 90.90 90.00
Space group Pm (No. 6)
Unique sites:
Li 0.0000 0.0000 0.0000 (multiplicity 1)
Mn 0.4048 0.0000 0.4851 (multiplicity 1)
Mn 0.4906 0.5000 0.0458 (multiplicity 1)
Mn 0.8917 0.5000 0.5497 (multiplicity 1)
P 0.0530 0.5000 0.8705 (multiplicity 1)
P 0.3632 0.5000 0.3618 (multiplicity 1)
P 0.5353 0.0000 0.1777 (multiplicity 1)
P 0.8744 0.0000 0.6734 (multiplicity 1)
O 0.1028 0.5000 0.7163 (multiplicity 1)
O 0.1887 0.0000 0.6456 (multiplicity 1)
O 0.2148 0.3030 0.9428 (multiplicity 2)
O 0.2210 0.0000 0.1675 (multiplicity 1)
O 0.2212 0.2976 0.4367 (multiplicity 2)
O 0.2829 0.5000 0.2104 (multiplicity 1)
O 0.6335 0.0000 0.3297 (multiplicity 1)
O 0.6686 0.2103 0.1065 (multiplicity 2)
O 0.6808 0.5000 0.3819 (multiplicity 1)
O 0.7214 0.2018 0.5958 (multiplicity 2)
O 0.7384 0.5000 0.8934 (multiplicity 1)
O 0.8217 0.0000 0.8219 (multiplicity 1)

Peak list (10 most intense, 2θ from 15° to 90°, in order of rising 2θ)
2θ (°)  I (rel.)
18.01  47
20.43  67
20.69  69
23.51  47
25.44  29
25.67  53
30.24  100
36.23  46
36.72  61
36.93  23

Record 5
The following is a computed powder diffraction line list of Sr2NiMoO6. It was derived from a structure optimized by DFT (GGA+U), using CuKα.
Kinematic intensities with the Lorentz-polarization factor, no thermal factor.

Structure:
abc: 5.6125 5.6125 8.0601
angles: 90.00 90.00 90.00
Space group I4/m (No. 87)
Unique sites:
Sr 0.0000 0.5000 0.2500 (multiplicity 4)
Ni 0.0000 0.0000 0.0000 (multiplicity 2)
Mo 0.0000 0.0000 0.5000 (multiplicity 2)
O 0.0000 0.0000 0.2582 (multiplicity 4)
O 0.2008 0.7176 0.5000 (multiplicity 8)

Peak list (10 most intense, 2θ from 15° to 90°, in order of rising 2θ)
2θ (°)  I (rel.)
31.64  100
31.89  53
44.99  19
45.72  33
56.20  21
56.67  41
66.09  20
66.66  9
75.80  10
84.06  10

Record 6
The following is a computed powder diffraction line list of Li4V2P3O12. It was derived from a structure optimized by DFT (GGA+U), using CuKα.
Kinematic intensities with the Lorentz-polarization factor, no thermal factor.

Structure:
abc: 15.1302 9.1229 8.6241
angles: 90.00 123.94 90.00
Space group C2/c (No. 15)
Unique sites:
Li 0.1171 0.1897 0.2989 (multiplicity 8)
Li 0.2078 0.4983 0.0477 (multiplicity 8)
V 0.1100 0.2505 0.6453 (multiplicity 8)
P 0.0000 0.4648 0.2500 (multiplicity 4)
P 0.1469 0.0930 0.0392 (multiplicity 8)
O 0.0441 0.1588 0.0070 (multiplicity 8)
O 0.0714 0.4418 0.7156 (multiplicity 8)
O 0.0815 0.3598 0.4101 (multiplicity 8)
O 0.1485 0.0781 0.5307 (multiplicity 8)
O 0.1721 0.1397 0.8955 (multiplicity 8)
O 0.2350 0.1443 0.2436 (multiplicity 8)

Peak list (10 most intense, 2θ from 15° to 90°, in order of rising 2θ)
2θ (°)  I (rel.)
19.92  30
20.13  87
23.21  100
23.39  100
23.81  81
28.47  96
31.16  27
32.05  50
34.32  34
45.90  32